# 1
Structure and calculated X-ray diffraction stick pattern of SrIr2 (a cell relaxed with GGA-PBE; λ = 1.5418 Å (Cu Kα)).
Kinematic intensities with the Lorentz-polarization factor, no thermal factor.

Principal peaks in the range 2θ = 10–90°, low angle first:
d_spacing  Position (°2θ)  intensity
4.480  19.8  44
2.743  32.6  10
2.339  38.5  100
2.240  40.3  67
1.940  46.8  19
1.780  51.3  11
1.493  62.2  33
1.372  68.4  32
1.183  81.3  12
1.170  82.5  26

Crystal structure
```
SrIr2
1.0
0.000 3.879 3.879
3.879 0.000 3.879
3.879 3.879 0.000
Sr Ir
2 4
direct
0.125 0.125 0.125
0.875 0.875 0.875
0.000 0.500 0.500
0.500 0.000 0.500
0.500 0.500 0.000
0.500 0.500 0.500
```


# 2
Structure and calculated X-ray diffraction stick pattern of NbInP2SO12 (a cell relaxed with GGA-PBE; λ = 1.5418 Å (Cu Kα)).
Kinematic intensities with the Lorentz-polarization factor, no thermal factor.

Principal peaks in the range 2θ = 10–90°, low angle first:
d_spacing  Position (°2θ)  intensity
6.390  13.9  73
4.622  19.2  52
4.579  19.4  98
4.447  20.0  100
3.862  23.0  32
3.832  23.2  67
3.201  27.9  62
3.183  28.0  31
2.893  30.9  30
2.883  31.0  35

Crystal structure
```
NbInP2SO12
1.0
7.720 -4.438 0.000
7.720 4.438 0.000
-5.234 0.000 7.629
Nb In P S O
2 2 4 2 24
direct
0.240 0.760 0.500
0.760 0.240 0.000
0.042 0.537 0.861
0.537 0.042 0.361
0.143 0.360 0.174
0.360 0.143 0.674
0.857 0.929 0.175
0.929 0.857 0.675
0.437 0.640 0.177
0.640 0.437 0.677
0.034 0.898 0.340
0.104 0.839 0.649
0.118 0.383 0.011
0.168 0.537 0.339
0.188 0.300 0.706
0.281 0.618 0.017
0.300 0.188 0.206
0.340 0.960 0.643
0.383 0.118 0.511
0.408 0.661 0.332
0.468 0.604 0.650
0.474 0.794 0.200
0.537 0.168 0.839
0.604 0.468 0.150
0.618 0.281 0.517
0.661 0.408 0.832
0.687 0.976 0.207
0.770 0.883 0.511
0.794 0.474 0.700
0.839 0.104 0.149
0.883 0.770 0.011
0.898 0.034 0.840
0.960 0.340 0.143
0.976 0.687 0.707
```


# 3
Structure and calculated X-ray diffraction stick pattern of PrPt (a cell relaxed with GGA-PBE; λ = 1.5418 Å (Cu Kα)).
Kinematic intensities with the Lorentz-polarization factor, no thermal factor.

Principal peaks in the range 2θ = 10–90°, low angle first:
d_spacing  Position (°2θ)  intensity
2.893  30.9  100
2.748  32.6  31
2.358  38.2  26
2.321  38.8  89
2.296  39.2  34
1.980  45.8  22
1.762  51.9  17
1.499  61.9  18
1.330  70.8  15
1.316  71.7  20

Crystal structure
```
PrPt
1.0
1.980 -5.496 0.000
1.980 5.496 0.000
0.000 0.000 4.592
Pr Pt
2 2
direct
0.137 0.863 0.750
0.863 0.137 0.250
0.412 0.588 0.750
0.588 0.412 0.250
```


# 4
Structure and calculated X-ray diffraction stick pattern of Cs2LiPrI6 (a cell relaxed with GGA-PBE; λ = 1.5418 Å (Cu Kα)).
Kinematic intensities with the Lorentz-polarization factor, no thermal factor.

Principal peaks in the range 2θ = 10–90°, low angle first:
d_spacing  Position (°2θ)  intensity
3.547  25.1  100
3.072  29.1  92
2.172  41.6  69
1.852  49.2  46
1.774  51.5  24
1.536  60.3  11
1.409  66.3  19
1.374  68.3  31
1.254  75.9  23
1.182  81.4  14

Crystal structure
```
Cs2LiPrI6
1.0
0.000 6.144 6.144
6.144 0.000 6.144
6.144 6.144 0.000
Cs Li Pr I
2 1 1 6
direct
0.250 0.250 0.250
0.750 0.750 0.750
0.000 0.000 0.000
0.500 0.500 0.500
0.245 0.245 0.755
0.245 0.755 0.245
0.245 0.755 0.755
0.755 0.245 0.245
0.755 0.245 0.755
0.755 0.755 0.245
```